Starting from a structure optimized by DFT (GGA+U), the XRD peak list of Na2NiIO6 was computed for λ = 1.5418 Å (Cu Kα).

Top 6 peaks for 10 to 90 degrees two-theta, most intense first:
2theta  d_spacing  Rel. int.
32.7  2.738  100
22.7  3.912  84
32.4  2.766  44
57.9  1.592  43
46.4  1.956  39
19.8  4.486  36

Structural model:
a = 5.4750 Å, b = 5.4750 Å, c = 5.5356 Å
α = 120.34°, β = 120.34°, γ = 60.66°
Fractional coordinates of all 10 atoms:
Na: 0.2496 0.2496 0.2370
Na: 0.7504 0.7504 0.7630
Ni: 0.5000 0.5000 0.0000
I: 0.0000 0.0000 0.5000
O: 0.1898 0.7104 0.2159
O: 0.2377 0.2377 0.6425
O: 0.2896 0.8102 0.7841
O: 0.7104 0.1898 0.2159
O: 0.7623 0.7623 0.3575
O: 0.8102 0.2896 0.7841